Entry 1:
# Zr8AuN6
Theoretical powder X-ray diffraction pattern, Cu Kα. Input: a PBE-relaxed structure.
Neutral-atom scattering factors, no anomalous dispersion.

abc: 6.2568 6.2568 6.2568
angles: 91.93 91.93 91.93
Element x y z (fractional)
Zr 0.1037 0.3622 0.7861
Zr 0.2139 0.8963 0.6378
Zr 0.2352 0.2352 0.2352
Zr 0.3622 0.7861 0.1037
Zr 0.6378 0.2139 0.8963
Zr 0.7648 0.7648 0.7648
Zr 0.7861 0.1037 0.3622
Zr 0.8963 0.6378 0.2139
Au 0.5000 0.5000 0.5000
N 0.0803 0.6925 0.8866
N 0.1134 0.9197 0.3075
N 0.3075 0.1134 0.9197
N 0.6925 0.8866 0.0803
N 0.8866 0.0803 0.6925
N 0.9197 0.3075 0.1134

Largest 10 diffraction maxima, in order of falling intensity, 10° ≤ 2θ ≤ 90°:
2theta, intensity
34.54, 100
32.48, 90
31.56, 42
24.38, 31
46.43, 29
41.58, 28
62.98, 23
48.14, 23
60.59, 16
51.90, 12

---

Entry 2:
# Sr2As4Pd3Rh
Theoretical powder X-ray diffraction pattern, Cu Kα. Input: a PBE-relaxed structure.
Neutral-atom scattering factors, no anomalous dispersion.

abc: 4.4419 4.4419 10.2101
angles: 90.00 90.00 90.00
Element x y z (fractional)
Sr 0.0000 0.5000 0.2486
Sr 0.5000 0.0000 0.7514
As 0.0000 0.0000 0.0000
As 0.0000 0.5000 0.6246
As 0.5000 0.0000 0.3754
As 0.5000 0.5000 0.0000
Pd 0.0000 0.5000 0.8726
Pd 0.5000 0.0000 0.1274
Pd 0.5000 0.5000 0.5000
Rh 0.0000 0.0000 0.5000

Largest 10 diffraction maxima, in order of falling intensity, 10° ≤ 2θ ≤ 90°:
2theta, intensity
33.50, 100
40.62, 81
33.16, 63
45.81, 43
53.40, 32
58.80, 27
69.39, 23
49.10, 22
65.56, 19
77.58, 18